For BaNi2F7, a GGA+U-relaxed structure gives the calculated X-ray diffraction stick pattern in this record (λ = 1.5418 Å (Cu Kα)).
Intensities are scaled so that the largest is 1000.

Main lines, low angle first (2θ = 10–80°):
| index | d [Å] | 2theta | intensity |
| --- | --- | --- | --- |
| 1 3 0 | 3.222 | 27.7 | 1000 |
| 0 2 1 | 3.190 | 28.0 | 463 |
| 1 1 1 | 3.160 | 28.2 | 959 |
| 2 0 0 | 3.132 | 28.5 | 510 |
| 0 4 1 | 2.278 | 39.6 | 318 |
| 3 3 0 | 1.825 | 50.0 | 355 |
| 3 1 1 | 1.814 | 50.3 | 330 |
| 1 3 2 | 1.659 | 55.4 | 277 |

Structural model:
Cell: 6.264 11.269 3.870 Å, 90.00 90.00 90.00°
Space group Cmmm (No. 65)
Symmetry-distinct sites (fractional):
Ba  0.000  0.000  0.000 [2 per cell]
Ni  0.000  0.328  0.500 [4 per cell]
F  0.000  0.313  0.000 [4 per cell]
F  0.000  0.500  0.500 [2 per cell]
F  0.190  0.144  0.500 [8 per cell]